[1]
Theoretical XRD peak list
Compound: Ho4Co
Radiation: copper Kα
Structure: DFT lattice parameters and positions (PBE)
Lines closer than 0.1° are merged.

Most intense lines, 2θ from 10° to 80°, in order of rising 2θ:
two_theta	intensity
29.39	1000
34.07	406
37.23	82
44.73	95
48.94	412
58.12	389
60.98	90
63.06	43
68.46	42
71.72	58
73.66	45
79.35	139

a b c (Å): 7.444 7.444 7.444
angles (deg): 60.00 60.00 60.00
Sites, in units of the cell vectors:
Ho1 0.220 0.760 0.760
Ho2 0.240 0.240 0.240
Ho3 0.240 0.240 0.780
Ho4 0.240 0.780 0.240
Ho5 0.760 0.220 0.760
Ho6 0.760 0.760 0.220
Ho7 0.760 0.760 0.760
Ho8 0.780 0.240 0.240
Co1 0.375 0.375 0.375
Co2 0.625 0.625 0.625

[2]
Theoretical XRD peak list
Compound: Ho2Co17
Radiation: copper Kα
Structure: DFT lattice parameters and positions (PBE)
Lines closer than 0.1° are merged.

Most intense lines, 2θ from 10° to 80°, in order of rising 2θ:
two_theta	intensity
30.92	424
34.92	118
37.63	410
41.95	404
43.73	631
44.02	1000
44.86	314
47.59	156
49.47	174
63.79	176
64.44	169
72.36	148

a b c (Å): 8.280 8.280 8.082
angles (deg): 90.00 90.00 120.00
Sites, in units of the cell vectors:
Ho1 0.000 0.000 0.250
Ho2 0.000 0.000 0.750
Ho3 0.333 0.667 0.250
Ho4 0.667 0.333 0.750
Co1 0.000 0.500 0.000
Co2 0.000 0.500 0.500
Co3 0.046 0.374 0.750
Co4 0.046 0.672 0.750
Co5 0.167 0.333 0.022
Co6 0.167 0.333 0.478
Co7 0.167 0.833 0.022
Co8 0.167 0.833 0.478
Co9 0.328 0.374 0.750
Co10 0.328 0.954 0.750
Co11 0.333 0.167 0.522
Co12 0.333 0.167 0.978
Co13 0.333 0.667 0.606
Co14 0.333 0.667 0.894
Co15 0.374 0.046 0.250
Co16 0.374 0.328 0.250
Co17 0.500 0.000 0.000
Co18 0.500 0.000 0.500
Co19 0.500 0.500 0.000
Co20 0.500 0.500 0.500
Co21 0.626 0.672 0.750
Co22 0.626 0.954 0.750
Co23 0.667 0.333 0.106
Co24 0.667 0.333 0.394
Co25 0.667 0.833 0.022
Co26 0.667 0.833 0.478
Co27 0.672 0.046 0.250
Co28 0.672 0.626 0.250
Co29 0.833 0.167 0.522
Co30 0.833 0.167 0.978
Co31 0.833 0.667 0.522
Co32 0.833 0.667 0.978
Co33 0.954 0.328 0.250
Co34 0.954 0.626 0.250

[3]
Theoretical XRD peak list
Compound: HoCo3
Radiation: copper Kα
Structure: DFT lattice parameters and positions (PBE)
Lines closer than 0.1° are merged.

Most intense lines, 2θ from 10° to 80°, in order of rising 2θ:
two_theta	intensity
21.02	119
33.19	482
36.24	917
42.28	357
42.78	1000
44.77	191
46.23	221
63.28	149
65.20	244
69.29	113
69.69	343
76.96	192

a b c (Å): 8.592 8.592 8.592
angles (deg): 33.52 33.52 33.52
Sites, in units of the cell vectors:
Ho1 0.000 0.000 0.000
Ho2 0.140 0.140 0.140
Ho3 0.860 0.860 0.860
Co1 0.079 0.583 0.583
Co2 0.335 0.335 0.335
Co3 0.417 0.417 0.921
Co4 0.417 0.921 0.417
Co5 0.500 0.500 0.500
Co6 0.583 0.079 0.583
Co7 0.583 0.583 0.079
Co8 0.665 0.665 0.665
Co9 0.921 0.417 0.417

[4]
Theoretical XRD peak list
Compound: Ho3In4Co2
Radiation: copper Kα
Structure: DFT lattice parameters and positions (PBE)
Lines closer than 0.1° are merged.

Most intense lines, 2θ from 10° to 80°, in order of rising 2θ:
two_theta	intensity
33.63	1000
33.74	769
36.04	510
38.42	378
42.57	389
51.74	161
57.12	108
58.67	161
63.20	248
63.40	322
66.25	145
75.26	113

a b c (Å): 8.117 8.117 3.534
angles (deg): 90.00 90.00 120.00
Sites, in units of the cell vectors:
Ho1 0.078 0.408 0.000
Ho2 0.330 0.922 0.000
Ho3 0.592 0.670 0.000
In1 0.000 0.000 0.000
In2 0.377 0.296 0.500
In3 0.704 0.082 0.500
In4 0.918 0.623 0.500
Co1 0.333 0.667 0.500
Co2 0.667 0.333 0.000

[5]
Theoretical XRD peak list
Compound: HoIn5Co
Radiation: copper Kα
Structure: DFT lattice parameters and positions (PBE)
Lines closer than 0.1° are merged.

Most intense lines, 2θ from 10° to 80°, in order of rising 2θ:
two_theta	intensity
19.35	60
29.99	499
35.71	214
36.54	1000
39.28	549
54.13	254
56.77	182
63.91	67
65.54	105
68.60	144
68.90	122
69.42	291

a b c (Å): 4.587 4.587 7.544
angles (deg): 90.00 90.00 90.00
Sites, in units of the cell vectors:
Ho1 0.000 0.000 0.000
In1 0.000 0.500 0.306
In2 0.000 0.500 0.694
In3 0.500 0.000 0.306
In4 0.500 0.000 0.694
In5 0.500 0.500 0.000
Co1 0.000 0.000 0.500

[6]
Theoretical XRD peak list
Compound: HoInCo4
Radiation: copper Kα
Structure: DFT lattice parameters and positions (PBE)
Lines closer than 0.1° are merged.

Most intense lines, 2θ from 10° to 80°, in order of rising 2θ:
two_theta	intensity
21.90	109
25.34	20
36.14	598
42.65	1000
44.65	175
57.10	30
58.73	9
64.98	212
69.47	297
76.67	219

a b c (Å): 4.971 4.971 4.971
angles (deg): 60.00 60.00 60.00
Sites, in units of the cell vectors:
Ho1 0.000 0.000 0.000
In1 0.750 0.750 0.750
Co1 0.375 0.375 0.375
Co2 0.375 0.375 0.874
Co3 0.375 0.874 0.375
Co4 0.874 0.375 0.375